Theoretical powder diffractogram
Compound: La2InAu3
Radiation: a wavelength of 1.5418 Å
Structure: a DFT-relaxed cell (PBE, Alexandria)

The 6 most intense peaks (10° ≤ 2θ ≤ 90°), by intensity:
32.33°, d = 2.769 Å, rel. 100
36.92°, d = 2.435 Å, rel. 57
63.45°, d = 1.466 Å, rel. 35
37.04°, d = 2.427 Å, rel. 29
44.68°, d = 2.028 Å, rel. 20
49.95°, d = 1.826 Å, rel. 19

Structural model:
a b c (Å): 7.3490 9.7094 16.8834
angles (deg): 90.00 90.00 90.00
Space group Fmmm (No. 69)
Symmetry-distinct sites (fractional):
La 0.2392 0.0000 0.0000 x8
La 0.2500 0.2500 0.2500 x8
In 0.0000 0.0000 0.3341 x8
Au 0.0000 0.0000 0.1685 x8
Au 0.0000 0.2474 0.4165 x16